MnP4H16N2O16: calculated powder X-ray diffraction pattern (Cu Kα (λ = 1.5418 Å)), based on a DFT-relaxed cell (PBE+U, Alexandria).
Neutral-atom scattering factors, no anomalous dispersion.

Main lines, in order of falling intensity (15° ≤ 2θ ≤ 90°):
2theta  I (rel.)  hkl
18.37  100  0 1 -1
24.99  63  0 2 1
15.42  50  0 1 1
27.62  47  2 1 1
24.01  39  0 2 0
28.33  36  2 -1 0
33.32  31  -2 1 1
24.12  22  0 0 2
25.10  20  1 1 -1
29.54  17  2 0 2

Cell and atoms:
a = 7.1611 Å, b = 7.5237 Å, c = 7.8927 Å
α = 80.57°, β = 71.66°, γ = 89.92°
Atoms (fractional coordinates):
Mn: 0.0000 0.0000 0.0000
P: 0.1708 0.2529 0.2530
P: 0.2424 0.7124 0.7403
P: 0.7576 0.2876 0.2597
P: 0.8292 0.7471 0.7470
H: 0.1222 0.3378 0.7830
H: 0.1244 0.2095 0.6402
H: 0.2402 0.4794 0.0159
H: 0.3235 0.9023 0.1763
H: 0.3385 0.6758 0.1867
H: 0.4192 0.7802 0.3272
H: 0.4424 0.2331 0.4224
H: 0.4547 0.1867 0.8990
H: 0.5453 0.8133 0.1010
H: 0.5576 0.7669 0.5776
H: 0.5808 0.2198 0.6728
H: 0.6615 0.3242 0.8133
H: 0.6765 0.0977 0.8237
H: 0.7598 0.5206 0.9841
H: 0.8756 0.7905 0.3598
H: 0.8778 0.6622 0.2170
N: 0.4070 0.7928 0.1977
N: 0.5930 0.2072 0.8023
O: 0.0638 0.2235 0.7686
O: 0.0648 0.7372 0.6531
O: 0.2078 0.1216 0.1187
O: 0.2296 0.5171 0.8356
O: 0.2402 0.8523 0.8576
O: 0.2465 0.2040 0.4120
O: 0.2519 0.4481 0.1486
O: 0.4211 0.7471 0.5584
O: 0.5789 0.2529 0.4416
O: 0.7481 0.5519 0.8514
O: 0.7535 0.7960 0.5880
O: 0.7598 0.1477 0.1424
O: 0.7704 0.4829 0.1644
O: 0.7922 0.8784 0.8813
O: 0.9352 0.2628 0.3469
O: 0.9362 0.7765 0.2314